The following is a computed X-ray powder pattern of CsMnP3HO10. It was derived from the GGA+U geometry in Alexandria, using Cu Ka.
Peak positions follow from Bragg's law for the DFT cell and can differ from measured ones.

Principal peaks in the range 15° ≤ 2θ ≤ 90°, in order of rising 2θ:
2θ = 17.5°, I 51.7
2θ = 20.5°, I 62.2
2θ = 21.2°, I 55.9
2θ = 23.5°, I 65.2
2θ = 25.0°, I 76.7
2θ = 28.9°, I 100.0
2θ = 29.4°, I 76.6
2θ = 32.3°, I 31.1
2θ = 35.3°, I 29.7
2θ = 44.8°, I 34.3

```
data_CsMnP3HO10
_chemical_formula_sum 'Cs1 Mn1 P3 H1 O10'
_symmetry_space_group_name_H-M 'P 1'
_symmetry_Int_Tables_number 1
_cell_length_a 6.339
_cell_length_b 6.339
_cell_length_c 6.604
_cell_angle_alpha 106.51
_cell_angle_beta 106.51
_cell_angle_gamma 87.96
loop_
_symmetry_equiv_pos_as_xyz
'x,y,z'
loop_
_atom_site_label
_atom_site_fract_x
_atom_site_fract_y
_atom_site_fract_z
Cs1 0.000 0.000 0.000
Mn1 0.665 0.335 0.500
P1 0.205 0.441 0.607
P2 0.559 0.795 0.393
P3 0.565 0.435 0.000
H1 0.252 0.748 0.500
O1 0.201 0.690 0.639
O2 0.310 0.408 0.852
O3 0.310 0.799 0.361
O4 0.347 0.323 0.459
O5 0.589 0.283 0.143
O6 0.592 0.690 0.148
O7 0.677 0.653 0.541
O8 0.681 0.019 0.476
O9 0.717 0.411 0.857
O10 0.981 0.319 0.524
```